[1]
This entry pairs a crystal structure of Sc2Cu2O5 with its calculated powder diffraction line list. Radiation: Cu Kα X-rays. Structure: a DFT-relaxed cell (GGA-PBE, Alexandria).
Neutral-atom scattering factors, no anomalous dispersion.

Crystal structure
Unit cell a=10.5559 b=3.2485 c=12.1228 alpha=90.00 beta=90.00 gamma=90.00
Fractional coordinates of all 36 atoms:
1 Sc 0.0395 0.2210 0.0000
2 Sc 0.2103 0.2204 0.3299
3 Sc 0.2897 0.7204 0.8299
4 Sc 0.4605 0.7210 0.5000
5 Sc 0.5395 0.2790 0.0000
6 Sc 0.7103 0.2796 0.3299
7 Sc 0.7897 0.7796 0.8299
8 Sc 0.9605 0.7790 0.5000
9 Cu 0.0100 0.3428 0.7209
10 Cu 0.2399 0.1512 0.6093
11 Cu 0.2601 0.6512 0.1093
12 Cu 0.4900 0.8428 0.2209
13 Cu 0.5100 0.1572 0.7209
14 Cu 0.7399 0.3488 0.6093
15 Cu 0.7601 0.8488 0.1093
16 Cu 0.9900 0.6572 0.2209
17 O 0.0674 0.2797 0.5652
18 O 0.0808 0.7292 0.3638
19 O 0.1245 0.2964 0.1651
20 O 0.1692 0.7183 0.9664
21 O 0.1825 0.2153 0.7652
22 O 0.3175 0.7153 0.2652
23 O 0.3308 0.2183 0.4664
24 O 0.3755 0.7964 0.6651
25 O 0.4192 0.2292 0.8638
26 O 0.4326 0.7797 0.0652
27 O 0.5674 0.2203 0.5652
28 O 0.5808 0.7708 0.3638
29 O 0.6245 0.2036 0.1651
30 O 0.6692 0.7817 0.9664
31 O 0.6825 0.2847 0.7652
32 O 0.8175 0.7847 0.2652
33 O 0.8308 0.2817 0.4664
34 O 0.8755 0.7036 0.6651
35 O 0.9192 0.2708 0.8638
36 O 0.9326 0.7203 0.0652

Most intense lines, 10° ≤ 2θ ≤ 80°, in order of rising 2θ:
14.61 deg, rel. 48.5
28.44 deg, rel. 38.6
32.38 deg, rel. 33.1
33.22 deg, rel. 87.1
33.97 deg, rel. 37.0
34.11 deg, rel. 100.0
46.80 deg, rel. 28.6
48.23 deg, rel. 27.5
49.92 deg, rel. 35.6
63.36 deg, rel. 25.5

[2]
This entry pairs a crystal structure of CuSn2Au8 with its calculated powder diffraction line list. Radiation: Cu Kα X-rays. Structure: a DFT-relaxed cell (GGA-PBE, Alexandria).
Neutral-atom scattering factors, no anomalous dispersion.

Crystal structure
Unit cell a=7.8228 b=7.8228 c=6.5072 alpha=90.61 beta=90.61 gamma=32.53
Fractional coordinates of all 11 atoms:
1 Cu 0.0000 0.0000 0.0000
2 Sn 0.3449 0.3449 0.0838
3 Sn 0.6551 0.6551 0.9162
4 Au 0.0871 0.0871 0.6276
5 Au 0.1574 0.1574 0.1990
6 Au 0.3070 0.3070 0.5201
7 Au 0.4763 0.4763 0.7353
8 Au 0.5237 0.5237 0.2647
9 Au 0.6930 0.6930 0.4799
10 Au 0.8426 0.8426 0.8010
11 Au 0.9129 0.9129 0.3724

Most intense lines, 10° ≤ 2θ ≤ 80°, in order of rising 2θ:
13.61 deg, rel. 17.7
30.06 deg, rel. 21.1
34.81 deg, rel. 25.2
36.26 deg, rel. 35.9
38.74 deg, rel. 92.9
39.02 deg, rel. 100.0
41.20 deg, rel. 51.2
43.56 deg, rel. 26.0
61.51 deg, rel. 17.3
73.46 deg, rel. 17.1

[3]
This entry pairs a crystal structure of Li2LaPr2Sn2 with its calculated powder diffraction line list. Radiation: Cu Kα X-rays. Structure: a DFT-relaxed cell (GGA-PBE, Alexandria).
Neutral-atom scattering factors, no anomalous dispersion.

Crystal structure
Unit cell a=9.8081 b=9.8081 c=9.8081 alpha=28.89 beta=28.89 gamma=28.89
Fractional coordinates of all 7 atoms:
1 Li 0.0937 0.0937 0.0937
2 Li 0.9063 0.9063 0.9063
3 La 0.5000 0.5000 0.5000
4 Pr 0.3697 0.3697 0.3697
5 Pr 0.6303 0.6303 0.6303
6 Sn 0.2376 0.2376 0.2376
7 Sn 0.7624 0.7624 0.7624

Most intense lines, 10° ≤ 2θ ≤ 80°, in order of rising 2θ:
21.20 deg, rel. 76.3
30.63 deg, rel. 86.2
33.07 deg, rel. 100.0
36.73 deg, rel. 92.7
42.79 deg, rel. 12.2
48.52 deg, rel. 36.9
50.24 deg, rel. 32.8
62.34 deg, rel. 59.2
63.83 deg, rel. 31.2
66.14 deg, rel. 16.8